Starting from a DFT-relaxed cell (PBE, the Materials Project), the XRD peak list of BaRu2Xe5F22 was simulated for Cu Kα, 1.54184 Å.

Largest 10 diffraction maxima, by angle, 2θ = 10–80°:
- 2θ = 23.1°, I = 100, (2 2 2)
- 2θ = 25.1°, I = 19, (0 0 4)
- 2θ = 25.6°, I = 13, (0 4 0)
- 2θ = 29.2°, I = 15, (4 0 0)
- 2θ = 36.2°, I = 13, (0 4 4)
- 2θ = 38.9°, I = 12, (4 0 4)
- 2θ = 43.1°, I = 17, (2 2 6)
- 2θ = 43.6°, I = 18, (2 6 2)
- 2θ = 47.1°, I = 15, (4 4 4)
- 2θ = 48.3°, I = 13, (6 2 2)

Lattice parameters (Å, degrees): 12.2315 13.9442 14.1664 90.00 90.00 90.00
Space group Fmmm (No. 69)
Asymmetric unit:
Ba: 0.0000 0.0000 0.0000 x4
Ru: 0.2500 0.0000 0.2500 x8
Xe: 0.0000 0.0000 0.5000 x4
Xe: 0.0000 0.2500 0.2500 x8
Xe: 0.2500 0.2500 0.0000 x8
F: 0.0000 0.1481 0.5000 x8
F: 0.0000 0.1795 0.1209 x16
F: 0.1225 0.0000 0.1728 x16
F: 0.1854 0.0963 0.3259 x32
F: 0.1875 0.1118 0.0000 x16